Structure and computed powder diffractogram of Rb2Pr2MgW4O16 (DFT lattice parameters and positions (PBE+U); Cu Kα).
Peak positions follow from Bragg's law for the DFT cell and can differ from measured ones.

Structure:
```
data_Rb2Pr2MgW4O16
_space_group_name_H-M_alt 'C 1 2 1'
_space_group_IT_number 5
_cell_length_a 11.245
_cell_length_b 11.236
_cell_length_c 7.663
_cell_angle_alpha 90.00
_cell_angle_beta 130.02
_cell_angle_gamma 90.00
loop_
_space_group_symop_operation_xyz
'x,y,z'
'-x,y,-z'
'x+1/2,y+1/2,z'
'-x+1/2,y+1/2,-z'
loop_
_atom_site_label
_atom_site_type_symbol
_atom_site_fract_x
_atom_site_fract_y
_atom_site_fract_z
_atom_site_occupancy
Rb1 Rb 0.000 0.000 0.000 1
Rb2 Rb 0.000 0.316 0.500 1
Pr1 Pr 0.000 0.339 0.000 1
Pr2 Pr 0.000 0.879 0.500 1
Mg1 Mg 0.000 0.740 0.000 1
W1 W 0.196 0.614 0.457 1
W2 W 0.199 0.598 0.956 1
O1 O 0.013 0.727 0.747 1
O2 O 0.020 0.507 0.219 1
O3 O 0.140 0.202 0.954 1
O4 O 0.141 0.015 0.448 1
O5 O 0.179 0.556 0.675 1
O6 O 0.202 0.670 0.208 1
O7 O 0.213 0.255 0.382 1
O8 O 0.216 0.953 0.887 1
```

Main lines, in order of rising 2θ (10 to 90 degrees two-theta):
15.77 deg, d = 5.618 Å, intensity 40.6; 25.94 deg, d = 3.435 Å, intensity 23.4; 26.07 deg, d = 3.418 Å, intensity 99.1; 27.16 deg, d = 3.284 Å, intensity 17.9; 28.22 deg, d = 3.163 Å, intensity 100.0; 30.47 deg, d = 2.934 Å, intensity 44.1; 31.86 deg, d = 2.809 Å, intensity 20.3; 32.06 deg, d = 2.792 Å, intensity 29.7; 32.19 deg, d = 2.781 Å, intensity 28.5; 44.66 deg, d = 2.029 Å, intensity 18.6; 47.23 deg, d = 1.925 Å, intensity 20.1; 47.52 deg, d = 1.913 Å, intensity 18.6

Structure and computed powder diffractogram of Na2FeO2 (DFT lattice parameters and positions (PBE+U); Cu Kα).
Peak positions follow from Bragg's law for the DFT cell and can differ from measured ones.

Structure:
```
data_Na2FeO2
_space_group_name_H-M_alt 'C m c 21'
_space_group_IT_number 36
_cell_length_a 3.007
_cell_length_b 10.593
_cell_length_c 8.506
_cell_angle_alpha 90.00
_cell_angle_beta 90.00
_cell_angle_gamma 90.00
loop_
_space_group_symop_operation_xyz
'x,y,z'
'-x,-y,z+1/2'
'-x,y,z'
'x,-y,z+1/2'
'x+1/2,y+1/2,z'
'-x+1/2,-y+1/2,z+1/2'
'-x+1/2,y+1/2,z'
'x+1/2,-y+1/2,z+1/2'
loop_
_atom_site_label
_atom_site_type_symbol
_atom_site_fract_x
_atom_site_fract_y
_atom_site_fract_z
_atom_site_occupancy
Na1 Na 0.000 0.109 0.000 1
Na2 Na 0.000 0.356 0.820 1
Fe1 Fe 0.000 0.377 0.157 1
O1 O 0.000 0.015 0.745 1
O2 O 0.000 0.227 0.557 1
```

Main lines, in order of rising 2θ (10 to 90 degrees two-theta):
19.75 deg, d = 4.496 Å, intensity 72.0; 20.89 deg, d = 4.253 Å, intensity 51.2; 32.70 deg, d = 2.738 Å, intensity 24.5; 33.85 deg, d = 2.648 Å, intensity 29.3; 35.93 deg, d = 2.500 Å, intensity 100.0; 37.61 deg, d = 2.392 Å, intensity 24.9; 39.36 deg, d = 2.289 Å, intensity 24.7; 40.82 deg, d = 2.210 Å, intensity 60.6; 44.76 deg, d = 2.025 Å, intensity 24.4; 44.97 deg, d = 2.016 Å, intensity 36.6; 53.48 deg, d = 1.713 Å, intensity 24.8; 73.51 deg, d = 1.288 Å, intensity 21.4

Structure and computed powder diffractogram of Li9Mn2Co5O16 (DFT lattice parameters and positions (PBE+U); Cu Kα).
Peak positions follow from Bragg's law for the DFT cell and can differ from measured ones.

Structure:
```
data_Li9Mn2Co5O16
_space_group_name_H-M_alt 'C 1 2/m 1'
_space_group_IT_number 12
_cell_length_a 21.155
_cell_length_b 2.899
_cell_length_c 10.265
_cell_angle_alpha 90.00
_cell_angle_beta 113.46
_cell_angle_gamma 90.00
loop_
_space_group_symop_operation_xyz
'x,y,z'
'-x,-y,-z'
'-x,y,-z'
'x,-y,z'
'x+1/2,y+1/2,z'
'-x+1/2,-y+1/2,-z'
'-x+1/2,y+1/2,-z'
'x+1/2,-y+1/2,z'
loop_
_atom_site_label
_atom_site_type_symbol
_atom_site_fract_x
_atom_site_fract_y
_atom_site_fract_z
_atom_site_occupancy
Li1 Li 0.000 0.000 0.000 1
Li2 Li 0.117 0.500 0.176 1
Li3 Li 0.119 0.000 0.429 1
Li4 Li 0.121 0.000 0.932 1
Li5 Li 0.124 0.500 0.689 1
Mn1 Mn 0.250 0.000 0.370 1
Co1 Co 0.000 0.000 0.500 1
Co2 Co 0.002 0.500 0.765 1
Co3 Co 0.248 0.500 0.119 1
O1 O 0.055 0.500 0.459 1
O2 O 0.057 0.000 0.709 1
O3 O 0.059 0.000 0.221 1
O4 O 0.060 0.500 0.948 1
O5 O 0.193 0.000 0.652 1
O6 O 0.194 0.000 0.151 1
O7 O 0.194 0.500 0.402 1
O8 O 0.195 0.500 0.901 1
```

Main lines, in order of rising 2θ (10 to 90 degrees two-theta):
10.16 deg, d = 8.709 Å, intensity 8.2; 18.29 deg, d = 4.852 Å, intensity 100.0; 35.48 deg, d = 2.530 Å, intensity 14.7; 36.13 deg, d = 2.486 Å, intensity 25.4; 37.67 deg, d = 2.388 Å, intensity 7.8; 42.99 deg, d = 2.104 Å, intensity 27.9; 43.71 deg, d = 2.071 Å, intensity 54.7; 47.60 deg, d = 1.910 Å, intensity 9.2; 57.52 deg, d = 1.602 Å, intensity 9.7; 62.85 deg, d = 1.479 Å, intensity 22.0; 63.09 deg, d = 1.473 Å, intensity 14.2; 64.25 deg, d = 1.450 Å, intensity 7.4

Structure and computed powder diffractogram of V4OF11 (DFT lattice parameters and positions (PBE+U); Cu Kα).
Peak positions follow from Bragg's law for the DFT cell and can differ from measured ones.

Structure:
```
data_V4OF11
_space_group_name_H-M_alt 'P 1'
_space_group_IT_number 1
_cell_length_a 5.263
_cell_length_b 5.462
_cell_length_c 17.453
_cell_angle_alpha 88.75
_cell_angle_beta 81.62
_cell_angle_gamma 61.31
loop_
_space_group_symop_operation_xyz
'x,y,z'
loop_
_atom_site_label
_atom_site_type_symbol
_atom_site_fract_x
_atom_site_fract_y
_atom_site_fract_z
_atom_site_occupancy
V1 V 0.000 0.000 0.000 1
V2 V 0.000 0.485 0.500 1
V3 V 0.250 0.858 0.627 1
V4 V 0.251 0.373 0.126 1
V5 V 0.480 0.272 0.746 1
V6 V 0.505 0.750 0.252 1
V7 V 0.748 0.628 0.874 1
V8 V 0.759 0.133 0.383 1
O1 O 0.303 0.541 0.691 1
O2 O 0.829 0.278 0.456 1
F1 F 0.173 0.903 0.339 1
F2 F 0.176 0.704 0.539 1
F3 F 0.178 0.214 0.037 1
F4 F 0.178 0.409 0.837 1
F5 F 0.220 0.180 0.564 1
F6 F 0.232 0.686 0.063 1
F7 F 0.274 0.062 0.188 1
F8 F 0.319 0.838 0.912 1
F9 F 0.321 0.033 0.714 1
F10 F 0.327 0.537 0.214 1
F11 F 0.328 0.330 0.413 1
F12 F 0.673 0.964 0.294 1
F13 F 0.676 0.657 0.587 1
F14 F 0.681 0.157 0.089 1
F15 F 0.686 0.449 0.787 1
F16 F 0.711 0.946 0.810 1
F17 F 0.733 0.422 0.311 1
F18 F 0.771 0.315 0.937 1
F19 F 0.773 0.807 0.438 1
F20 F 0.822 0.785 0.963 1
F21 F 0.825 0.590 0.163 1
F22 F 0.826 0.072 0.663 1
```

Main lines, in order of rising 2θ (10 to 90 degrees two-theta):
23.48 deg, d = 3.789 Å, intensity 100.0; 23.56 deg, d = 3.777 Å, intensity 50.0; 32.83 deg, d = 2.728 Å, intensity 21.9; 39.54 deg, d = 2.279 Å, intensity 10.1; 39.64 deg, d = 2.274 Å, intensity 14.9; 47.92 deg, d = 1.899 Å, intensity 10.6; 48.16 deg, d = 1.889 Å, intensity 20.3; 53.16 deg, d = 1.723 Å, intensity 6.2; 53.27 deg, d = 1.720 Å, intensity 12.4; 53.34 deg, d = 1.718 Å, intensity 12.0; 54.91 deg, d = 1.672 Å, intensity 6.3; 61.18 deg, d = 1.515 Å, intensity 8.2